# 1
CrAuO2: computed powder X-ray diffraction pattern (copper Kα), based on a structure optimized by DFT (GGA+U).
Lines closer than 0.1° are merged.

Atomic structure:
a b c (Å): 3.0748 3.0748 12.3655
angles (deg): 90.00 90.00 120.00
Space group P6_3/mmc (No. 194)
Symmetry-distinct sites (fractional):
Cr 0.0000 0.0000 0.0000 [2 per cell]
Au 0.3333 0.6667 0.2500 [2 per cell]
O 0.3333 0.6667 0.0801 [4 per cell]

Peak list (10 most intense, 2θ = 5–70°, by angle)
| d/Å | Position (°2θ) | I_rel | index |
| --- | --- | --- | --- |
| 6.183 | 14.33 | 54 | 0 0 2 |
| 3.091 | 28.88 | 43 | 0 0 4 |
| 2.603 | 34.45 | 100 | 1 0 1 |
| 2.446 | 36.75 | 51 | 1 0 2 |
| 2.237 | 40.32 | 39 | 1 0 3 |
| 1.812 | 50.35 | 35 | 1 0 5 |
| 1.630 | 56.46 | 19 | 1 0 6 |
| 1.537 | 60.19 | 22 | 1 1 0 |
| 1.472 | 63.16 | 17 | 1 0 7 |
| 1.377 | 68.12 | 23 | 1 1 4 |

# 2
Ba2MgWO6: computed powder X-ray diffraction pattern (copper Kα), based on a structure optimized by DFT (GGA+U).
Lines closer than 0.1° are merged.

Atomic structure:
a b c (Å): 8.2364 8.2364 8.2364
angles (deg): 90.00 90.00 90.00
Space group Fm-3m (No. 225)
Symmetry-distinct sites (fractional):
Ba 0.2500 0.2500 0.2500 [8 per cell]
Mg 0.0000 0.0000 0.0000 [4 per cell]
W 0.0000 0.0000 0.5000 [4 per cell]
O 0.0000 0.0000 0.2613 [24 per cell]

Peak list (10 most intense, 2θ = 5–70°, by angle)
| d/Å | Position (°2θ) | I_rel | index |
| --- | --- | --- | --- |
| 4.755 | 18.66 | 31 | 1 1 1 |
| 2.912 | 30.70 | 100 | 2 2 0 |
| 2.483 | 36.17 | 16 | 3 1 1 |
| 2.378 | 37.84 | 5 | 2 2 2 |
| 2.059 | 43.97 | 31 | 4 0 0 |
| 1.890 | 48.16 | 6 | 3 3 1 |
| 1.681 | 54.59 | 40 | 4 2 2 |
| 1.585 | 58.20 | 6 | 5 1 1 |
| 1.456 | 63.94 | 19 | 4 4 0 |
| 1.392 | 67.25 | 6 | 5 3 1 |

# 3
Cr2Cu5P4O18: computed powder X-ray diffraction pattern (copper Kα), based on a structure optimized by DFT (GGA+U).
Lines closer than 0.1° are merged.

Atomic structure:
a b c (Å): 13.2630 6.4560 8.3848
angles (deg): 90.00 112.30 90.00
Space group C2/m (No. 12)
Symmetry-distinct sites (fractional):
Cr 0.1094 0.0000 0.4705 [4 per cell]
Cu 0.0000 0.5000 0.0000 [2 per cell]
Cu 0.1238 0.2564 0.7691 [8 per cell]
P 0.1260 0.5000 0.4103 [4 per cell]
P 0.1585 0.0000 0.0948 [4 per cell]
O 0.0244 0.5000 0.2390 [4 per cell]
O 0.0571 0.0000 0.6650 [4 per cell]
O 0.1141 0.2023 0.9913 [8 per cell]
O 0.1161 0.3078 0.5182 [8 per cell]
O 0.1351 0.0000 0.2574 [4 per cell]
O 0.2136 0.5000 0.8598 [4 per cell]
O 0.2305 0.5000 0.3742 [4 per cell]

Peak list (10 most intense, 2θ = 5–70°, by angle)
| d/Å | Position (°2θ) | I_rel | index |
| --- | --- | --- | --- |
| 6.059 | 14.62 | 45 | 2 0 -1 |
| 4.112 | 21.61 | 31 | 2 0 1 |
| 3.068 | 29.11 | 91 | 4 0 0 |
| 2.849 | 31.40 | 100 | 2 2 -1 |
| 2.792 | 32.06 | 53 | 2 0 -3 |
| 2.539 | 35.34 | 66 | 2 2 1 |
| 2.481 | 36.20 | 36 | 0 2 2 |
| 2.021 | 44.84 | 31 | 4 0 -4 |
| 1.614 | 57.06 | 28 | 0 4 0 |
| 1.582 | 58.32 | 30 | 6 2 1 |

# 4
Fe6PbS4O28: computed powder X-ray diffraction pattern (copper Kα), based on a structure optimized by DFT (GGA+U).
Lines closer than 0.1° are merged.

Atomic structure:
a b c (Å): 7.0459 7.0459 35.8540
angles (deg): 90.00 90.00 120.00
Space group R-3m (No. 166, hexagonal axes)
Symmetry-distinct sites (fractional):
Fe 0.0126 0.5063 0.2477 [18 per cell]
Pb 0.0000 0.0000 0.0000 [3 per cell]
S 0.0000 0.0000 0.1532 [6 per cell]
S 0.0000 0.0000 0.3458 [6 per cell]
O 0.0000 0.0000 0.1939 [6 per cell]
O 0.0000 0.0000 0.3055 [6 per cell]
O 0.0774 0.5387 0.0959 [18 per cell]
O 0.1013 0.5506 0.8061 [18 per cell]
O 0.1022 0.5511 0.3058 [18 per cell]
O 0.1103 0.2206 0.9315 [18 per cell]

Peak list (10 most intense, 2θ = 5–70°, by angle)
| d/Å | Position (°2θ) | I_rel | index |
| --- | --- | --- | --- |
| 11.951 | 7.40 | 49 | 0 0 3 |
| 6.013 | 14.73 | 37 | 1 0 1 |
| 5.776 | 15.34 | 65 | 0 1 2 |
| 4.647 | 19.10 | 24 | 0 1 5 |
| 3.379 | 26.37 | 23 | 1 1 3 |
| 3.035 | 29.43 | 100 | 1 1 6 |
| 2.988 | 29.91 | 22 | 0 0 12 |
| 2.361 | 38.11 | 32 | 0 1 14 |
| 1.925 | 47.20 | 29 | 3 0 6 |
| 1.761 | 51.91 | 23 | 2 2 0 |

# 5
MgMn2O4: computed powder X-ray diffraction pattern (copper Kα), based on a structure optimized by DFT (GGA+U).
Lines closer than 0.1° are merged.

Atomic structure:
a b c (Å): 3.1079 9.3420 5.2714
angles (deg): 90.00 106.96 90.00
Space group P2_1 (No. 4)
Symmetry-distinct sites (fractional):
Mg 0.0905 0.0000 0.1861 [2 per cell]
Mn 0.2613 0.1781 0.7266 [2 per cell]
Mn 0.4641 0.8199 0.7261 [2 per cell]
O 0.0005 0.2485 0.0011 [2 per cell]
O 0.0936 0.3640 0.5488 [2 per cell]
O 0.4537 0.6337 0.5489 [2 per cell]
O 0.4596 0.9989 0.9213 [2 per cell]

Peak list (10 most intense, 2θ = 5–70°, by angle)
| d/Å | Position (°2θ) | I_rel | index |
| --- | --- | --- | --- |
| 4.671 | 19.00 | 41 | 0 2 0 |
| 2.830 | 31.61 | 60 | 1 1 -1 |
| 2.649 | 33.83 | 100 | 0 3 1 |
| 2.220 | 40.64 | 41 | 1 1 1 |
| 2.213 | 40.77 | 35 | 1 1 -2 |
| 2.119 | 42.66 | 20 | 0 4 1 |
| 2.053 | 44.11 | 32 | 1 2 1 |
| 2.048 | 44.23 | 32 | 1 2 -2 |
| 1.581 | 58.35 | 25 | 1 5 -1 |
| 1.479 | 62.83 | 21 | 0 3 3 |

# 6
CoF3: computed powder X-ray diffraction pattern (copper Kα), based on a structure optimized by DFT (GGA+U).
Lines closer than 0.1° are merged.

Atomic structure:
a b c (Å): 5.2109 5.2109 13.0206
angles (deg): 90.00 90.00 120.00
Space group R-3c (No. 167, hexagonal axes)
Symmetry-distinct sites (fractional):
Co 0.0000 0.0000 0.0000 [6 per cell]
F 0.0000 0.3944 0.2500 [18 per cell]

Peak list (10 most intense, 2θ = 5–70°, by angle)
| d/Å | Position (°2θ) | I_rel | index |
| --- | --- | --- | --- |
| 3.709 | 23.99 | 100 | 0 1 2 |
| 2.640 | 33.96 | 19 | 1 0 4 |
| 2.605 | 34.42 | 9 | 1 1 0 |
| 2.234 | 40.38 | 16 | 1 1 3 |
| 2.132 | 42.40 | 4 | 2 0 2 |
| 1.854 | 49.13 | 19 | 0 2 4 |
| 1.667 | 55.07 | 25 | 1 1 6 |
| 1.650 | 55.71 | 13 | 1 2 2 |
| 1.511 | 61.36 | 8 | 2 1 4 |
| 1.504 | 61.66 | 10 | 3 0 0 |

# 7
BaTiMn2Si2O10: computed powder X-ray diffraction pattern (copper Kα), based on a structure optimized by DFT (GGA+U).
Lines closer than 0.1° are merged.

Atomic structure:
a b c (Å): 5.4066 6.9096 11.4984
angles (deg): 90.00 96.46 90.00
Space group P2_1/m (No. 11)
Symmetry-distinct sites (fractional):
Ba 0.2331 0.2500 0.4310 [2 per cell]
Ti 0.2290 0.7500 0.3363 [2 per cell]
Mn 0.0000 0.0000 0.0000 [2 per cell]
Mn 0.4959 0.2500 0.9968 [2 per cell]
Si 0.2960 0.5192 0.7546 [4 per cell]
O 0.0257 0.0542 0.6969 [4 per cell]
O 0.1934 0.2500 0.0670 [2 per cell]
O 0.1948 0.7500 0.0680 [2 per cell]
O 0.2514 0.7500 0.4874 [2 per cell]
O 0.2812 0.7500 0.7351 [2 per cell]
O 0.3413 0.0119 0.8986 [4 per cell]
O 0.4782 0.5534 0.3155 [4 per cell]

Peak list (10 most intense, 2θ = 5–70°, by angle)
| d/Å | Position (°2θ) | I_rel | index |
| --- | --- | --- | --- |
| 3.808 | 23.36 | 48 | 0 0 3 |
| 3.711 | 23.98 | 45 | 1 0 2 |
| 3.307 | 26.96 | 44 | 0 2 1 |
| 3.286 | 27.13 | 53 | 1 0 -3 |
| 2.955 | 30.24 | 81 | 1 0 3 |
| 2.776 | 32.25 | 100 | 1 2 1 |
| 2.683 | 33.39 | 58 | 2 0 -1 |
| 2.656 | 33.75 | 49 | 1 2 -2 |
| 2.245 | 40.16 | 50 | 1 2 3 |
| 2.120 | 42.65 | 50 | 2 2 0 |

# 8
Fe4CuNiO8: computed powder X-ray diffraction pattern (copper Kα), based on a structure optimized by DFT (GGA+U).
Lines closer than 0.1° are merged.

Atomic structure:
a b c (Å): 10.4853 5.9617 5.9133
angles (deg): 90.00 124.12 90.00
Space group C2/m (No. 12)
Symmetry-distinct sites (fractional):
Fe 0.1160 0.0000 0.3645 [4 per cell]
Fe 0.2500 0.2500 0.0000 [4 per cell]
Cu 0.0000 0.5000 0.0000 [2 per cell]
Ni 0.0000 0.5000 0.5000 [2 per cell]
O 0.0124 0.2643 0.7715 [8 per cell]
O 0.2384 0.0000 0.7551 [4 per cell]
O 0.2455 0.5000 0.7593 [4 per cell]

Peak list (10 most intense, 2θ = 5–70°, by angle)
| d/Å | Position (°2θ) | I_rel | index |
| --- | --- | --- | --- |
| 4.907 | 18.08 | 24 | 0 0 1 |
| 3.018 | 29.60 | 49 | 1 1 1 |
| 2.603 | 34.45 | 74 | 3 1 0 |
| 2.595 | 34.56 | 29 | 4 0 -1 |
| 2.545 | 35.27 | 84 | 0 2 1 |
| 2.534 | 35.43 | 100 | 1 1 -2 |
| 2.099 | 43.09 | 40 | 2 2 -2 |
| 1.620 | 56.82 | 28 | 1 3 -2 |
| 1.511 | 61.36 | 43 | 2 2 2 |
| 1.507 | 61.54 | 43 | 6 2 -2 |